# Ta2V4F
Computed PXRD pattern, Cu Kα (weighted mean of Kα1 and Kα2). Input: the GGA+U geometry in Alexandria.
Neutral-atom scattering factors, no anomalous dispersion.

Top 12 peaks for 2θ from 10° to 90°, by intensity:
2θ/deg  d/Å  intensity  hkl
40.18  2.244  100  1 1 4
28.79  3.101  98  1 0 3
31.42  2.847  83  1 1 0
45.04  2.013  71  2 0 0
49.26  1.850  59  1 1 6
33.80  2.652  59  1 1 2
36.97  2.432  50  0 0 6
22.92  3.881  48  1 0 1
59.63  1.551  47  2 0 6
54.33  1.688  35  2 1 3
79.79  1.202  26  3 1 4
24.40  3.647  23  0 0 4

Atomic structure:
Unit cell a=4.0260 b=4.0260 c=14.5896 alpha=90.00 beta=90.00 gamma=90.00
Space group I4/mmm (No. 139)
Unique sites:
Ta (0.0000, 0.0000, 0.1506) x4
V (0.0000, 0.0000, 0.3301) x4
V (0.0000, 0.5000, 0.0000) x4
F (0.0000, 0.0000, 0.5000) x2